Starting from a crystal structure in the Materials Project, relaxed with GGA-PBE, the powder X-ray diffraction pattern of NaH4AuBr4O2 was simulated for Cu Kα (λ = 1.5418 Å).

Largest 6 diffraction maxima, sorted by position, 10 to 90 degrees two-theta:
d 7.748, 11.42 deg, rel. 100
d 5.428, 16.33 deg, rel. 25
d 3.803, 23.39 deg, rel. 63
d 3.414, 26.10 deg, rel. 53
d 2.578, 34.80 deg, rel. 58
d 2.446, 36.75 deg, rel. 42

Atomic structure:
a = 13.4170 Å, b = 7.6069 Å, c = 9.4907 Å
α = 90.00°, β = 90.00°, γ = 90.00°
Element x y z (fractional)
Na  0.0150  0.2500  0.0425
Na  0.4850  0.7500  0.5425
Na  0.5150  0.2500  0.4575
Na  0.9850  0.7500  0.9575
H  0.1325  0.0072  0.8656
H  0.1325  0.4928  0.8656
H  0.1749  0.5220  0.0158
H  0.1749  0.9780  0.0158
H  0.3251  0.0220  0.5158
H  0.3251  0.4780  0.5158
H  0.3675  0.5072  0.3656
H  0.3675  0.9928  0.3656
H  0.6325  0.0072  0.6344
H  0.6325  0.4928  0.6344
H  0.6749  0.5220  0.4842
H  0.6749  0.9780  0.4842
H  0.8251  0.0220  0.9842
H  0.8251  0.4780  0.9842
H  0.8675  0.5072  0.1344
H  0.8675  0.9928  0.1344
Au  0.0631  0.2500  0.5118
Au  0.4369  0.7500  0.0118
Au  0.5631  0.2500  0.9882
Au  0.9369  0.7500  0.4882
Br  0.0463  0.7500  0.2783
Br  0.0867  0.7500  0.6422
Br  0.1730  0.2500  0.3016
Br  0.2119  0.2500  0.6680
Br  0.2881  0.7500  0.1680
Br  0.3270  0.7500  0.8016
Br  0.4133  0.2500  0.1422
Br  0.4537  0.2500  0.7783
Br  0.5463  0.7500  0.2217
Br  0.5867  0.7500  0.8578
Br  0.6730  0.2500  0.1984
Br  0.7119  0.2500  0.8320
Br  0.7881  0.7500  0.3320
Br  0.8270  0.7500  0.6984
Br  0.9133  0.2500  0.3578
Br  0.9537  0.2500  0.7217
O  0.1127  0.5012  0.9652
O  0.1127  0.9988  0.9652
O  0.3873  0.0012  0.4652
O  0.3873  0.4988  0.4652
O  0.6127  0.5012  0.5348
O  0.6127  0.9988  0.5348
O  0.8873  0.0012  0.0348
O  0.8873  0.4988  0.0348

Starting from a crystal structure in the Materials Project, relaxed with GGA-PBE, the powder X-ray diffraction pattern of K2InAuBr6 was simulated for Cu Kα (λ = 1.5418 Å).

Largest 6 diffraction maxima, sorted by position, 10 to 90 degrees two-theta:
d 5.536, 16.01 deg, rel. 100
d 3.914, 22.72 deg, rel. 31
d 2.768, 32.34 deg, rel. 94
d 2.476, 36.29 deg, rel. 55
d 1.957, 46.39 deg, rel. 67
d 1.238, 77.04 deg, rel. 29

Atomic structure:
a = 7.8287 Å, b = 7.8287 Å, c = 7.8287 Å
α = 60.00°, β = 60.00°, γ = 60.00°
Element x y z (fractional)
K  0.2500  0.2500  0.2500
K  0.7500  0.7500  0.7500
In  0.0000  0.0000  0.0000
Au  0.5000  0.5000  0.5000
Br  0.2481  0.2481  0.7519
Br  0.2481  0.7519  0.2481
Br  0.2481  0.7519  0.7519
Br  0.7519  0.2481  0.2481
Br  0.7519  0.2481  0.7519
Br  0.7519  0.7519  0.2481

Starting from a crystal structure in the Materials Project, relaxed with GGA-PBE, the powder X-ray diffraction pattern of Rb2InAuBr6 was simulated for Cu Kα (λ = 1.5418 Å).

Largest 6 diffraction maxima, sorted by position, 10 to 90 degrees two-theta:
d 5.560, 15.94 deg, rel. 53
d 3.932, 22.62 deg, rel. 52
d 2.780, 32.20 deg, rel. 100
d 2.487, 36.12 deg, rel. 29
d 1.966, 46.18 deg, rel. 72
d 1.243, 76.64 deg, rel. 32

Atomic structure:
a = 7.8630 Å, b = 7.8630 Å, c = 7.8630 Å
α = 60.00°, β = 60.00°, γ = 60.00°
Element x y z (fractional)
Rb  0.2500  0.2500  0.2500
Rb  0.7500  0.7500  0.7500
In  0.0000  0.0000  0.0000
Au  0.5000  0.5000  0.5000
Br  0.2479  0.2479  0.7521
Br  0.2479  0.7521  0.2479
Br  0.2479  0.7521  0.7521
Br  0.7521  0.2479  0.2479
Br  0.7521  0.2479  0.7521
Br  0.7521  0.7521  0.2479

Starting from a crystal structure in the Materials Project, relaxed with GGA-PBE, the powder X-ray diffraction pattern of K3AuBr6 was simulated for Cu Kα (λ = 1.5418 Å).

Largest 6 diffraction maxima, sorted by position, 10 to 90 degrees two-theta:
d 6.657, 13.30 deg, rel. 69
d 5.765, 15.37 deg, rel. 89
d 3.329, 26.78 deg, rel. 33
d 2.883, 31.02 deg, rel. 100
d 2.578, 34.80 deg, rel. 44
d 2.038, 44.45 deg, rel. 69

Atomic structure:
a = 8.1534 Å, b = 8.1534 Å, c = 8.1534 Å
α = 60.00°, β = 60.00°, γ = 60.00°
Element x y z (fractional)
K  0.0000  0.0000  0.0000
K  0.2500  0.2500  0.2500
K  0.7500  0.7500  0.7500
Au  0.5000  0.5000  0.5000
Br  0.2694  0.2694  0.7306
Br  0.2694  0.7306  0.2694
Br  0.2694  0.7306  0.7306
Br  0.7306  0.2694  0.2694
Br  0.7306  0.2694  0.7306
Br  0.7306  0.7306  0.2694

Starting from a crystal structure in the Materials Project, relaxed with GGA-PBE, the powder X-ray diffraction pattern of K2NaAuBr6 was simulated for Cu Kα (λ = 1.5418 Å).

Largest 6 diffraction maxima, sorted by position, 10 to 90 degrees two-theta:
d 6.384, 13.87 deg, rel. 63
d 5.529, 16.03 deg, rel. 79
d 3.192, 27.95 deg, rel. 39
d 2.764, 32.39 deg, rel. 100
d 2.473, 36.33 deg, rel. 43
d 1.955, 46.46 deg, rel. 70

Atomic structure:
a = 7.8190 Å, b = 7.8190 Å, c = 7.8190 Å
α = 60.00°, β = 60.00°, γ = 60.00°
Element x y z (fractional)
K  0.2500  0.2500  0.2500
K  0.7500  0.7500  0.7500
Na  0.0000  0.0000  0.0000
Au  0.5000  0.5000  0.5000
Br  0.2597  0.2597  0.7403
Br  0.2597  0.7403  0.2597
Br  0.2597  0.7403  0.7403
Br  0.7403  0.2597  0.2597
Br  0.7403  0.2597  0.7403
Br  0.7403  0.7403  0.2597

Starting from a crystal structure in the Materials Project, relaxed with GGA-PBE, the powder X-ray diffraction pattern of KAuBr4O2 was simulated for Cu Kα (λ = 1.5418 Å).

Largest 6 diffraction maxima, sorted by position, 10 to 90 degrees two-theta:
d 7.349, 12.04 deg, rel. 100
d 6.548, 13.52 deg, rel. 37
d 3.782, 23.52 deg, rel. 39
d 3.675, 24.22 deg, rel. 27
d 3.383, 26.35 deg, rel. 32
d 2.635, 34.02 deg, rel. 27

Atomic structure:
a = 4.3950 Å, b = 13.0969 Å, c = 8.8795 Å
α = 90.00°, β = 90.42°, γ = 90.00°
Element x y z (fractional)
K  0.0000  0.0000  0.0000
K  0.0000  0.5000  0.5000
Au  0.5000  0.0000  0.5000
Au  0.5000  0.5000  0.0000
Br  0.1865  0.1138  0.3420
Br  0.1865  0.3862  0.8420
Br  0.4722  0.1476  0.6942
Br  0.4722  0.3524  0.1942
Br  0.5278  0.6476  0.8058
Br  0.5278  0.8524  0.3058
Br  0.8135  0.6138  0.1580
Br  0.8135  0.8862  0.6580
O  0.4784  0.6024  0.6227
O  0.4784  0.8976  0.1227
O  0.5216  0.1024  0.8773
O  0.5216  0.3976  0.3773

Starting from a crystal structure in the Materials Project, relaxed with GGA-PBE, the powder X-ray diffraction pattern of KAuBr4O2 was simulated for Cu Kα (λ = 1.5418 Å).

Largest 6 diffraction maxima, sorted by position, 10 to 90 degrees two-theta:
d 7.441, 11.89 deg, rel. 100
d 6.550, 13.52 deg, rel. 32
d 4.144, 21.45 deg, rel. 65
d 3.721, 23.92 deg, rel. 32
d 2.652, 33.80 deg, rel. 35
d 2.479, 36.23 deg, rel. 49

Atomic structure:
a = 8.7711 Å, b = 13.1009 Å, c = 10.4311 Å
α = 90.00°, β = 119.92°, γ = 90.00°
Element x y z (fractional)
K  0.2355  0.0239  0.4811
K  0.2355  0.4761  0.9811
K  0.7645  0.5239  0.0189
K  0.7645  0.9761  0.5189
Au  0.2553  0.0022  0.0138
Au  0.2553  0.4978  0.5138
Au  0.7447  0.5022  0.4862
Au  0.7447  0.9978  0.9862
Br  0.0938  0.6392  0.3438
Br  0.0938  0.8608  0.8438
Br  0.2047  0.1364  0.8161
Br  0.2047  0.3636  0.3161
Br  0.3029  0.6365  0.7059
Br  0.3029  0.8635  0.2059
Br  0.4189  0.1407  0.1890
Br  0.4189  0.3593  0.6890
Br  0.5811  0.6407  0.3110
Br  0.5811  0.8593  0.8110
Br  0.6971  0.1365  0.7941
Br  0.6971  0.3635  0.2941
Br  0.7953  0.6364  0.6839
Br  0.7953  0.8636  0.1839
Br  0.9062  0.1392  0.1562
Br  0.9062  0.3608  0.6562
O  0.0792  0.0856  0.6382
O  0.0792  0.4144  0.1382
O  0.4229  0.5900  0.8857
O  0.4229  0.9100  0.3857
O  0.5771  0.0900  0.6143
O  0.5771  0.4100  0.1143
O  0.9208  0.5856  0.8618
O  0.9208  0.9144  0.3618

Starting from a crystal structure in the Materials Project, relaxed with GGA-PBE, the powder X-ray diffraction pattern of KAuBr4O2 was simulated for Cu Kα (λ = 1.5418 Å).

Largest 6 diffraction maxima, sorted by position, 10 to 90 degrees two-theta:
d 7.026, 12.60 deg, rel. 100
d 4.940, 17.96 deg, rel. 17
d 4.309, 20.61 deg, rel. 40
d 3.635, 24.49 deg, rel. 40
d 3.513, 25.35 deg, rel. 28
d 1.818, 50.19 deg, rel. 24

Atomic structure:
a = 5.0041 Å, b = 11.7223 Å, c = 8.8924 Å
α = 90.00°, β = 99.19°, γ = 90.00°
Element x y z (fractional)
K  0.0000  0.0000  0.0000
K  0.0000  0.5000  0.5000
Au  0.5000  0.0000  0.5000
Au  0.5000  0.5000  0.0000
Br  0.1215  0.1115  0.3581
Br  0.1215  0.3885  0.8581
Br  0.4680  0.1670  0.6889
Br  0.4680  0.3330  0.1889
Br  0.5320  0.6670  0.8111
Br  0.5320  0.8330  0.3111
Br  0.8785  0.6115  0.1419
Br  0.8785  0.8885  0.6419
O  0.3240  0.6565  0.6344
O  0.3240  0.8435  0.1344
O  0.6760  0.1565  0.8656
O  0.6760  0.3435  0.3656